Record 1
Simulated XRD peak list of Pm2Y12Ho5 for a wavelength of 1.5418 Å, from a cell relaxed with GGA-PBE.
Kinematic intensities with the Lorentz-polarization factor, no thermal factor.

```
Pm2Y12Ho5
1.0
7.837 -4.660 0.000
7.837 4.660 0.000
-0.198 0.000 8.574
Pm Y Ho
2 12 5
Direct
0.179 0.821 0.000 Pm
0.821 0.179 0.000 Pm
0.058 0.058 0.330 Y
0.064 0.681 0.344 Y
0.166 0.526 0.759 Y
0.319 0.936 0.656 Y
0.412 0.412 0.121 Y
0.474 0.834 0.241 Y
0.526 0.166 0.759 Y
0.588 0.588 0.879 Y
0.681 0.064 0.344 Y
0.834 0.474 0.241 Y
0.936 0.319 0.656 Y
0.942 0.942 0.670 Y
0.199 0.199 0.013 Ho
0.269 0.269 0.425 Ho
0.500 0.500 0.500 Ho
0.731 0.731 0.575 Ho
0.801 0.801 0.987 Ho
```

Most intense lines, 2θ = 10–80°, by angle:
two_theta	d [Å]	I (rel.)
30.4	2.944	55
31.2	2.871	55
31.3	2.859	71
31.7	2.826	100
31.8	2.815	41
33.2	2.702	74
35.3	2.541	35
55.3	1.662	36

***

Record 2
Simulated XRD peak list of Pm2Y5Ho6 for a wavelength of 1.5418 Å, from a cell relaxed with GGA-PBE.
Kinematic intensities with the Lorentz-polarization factor, no thermal factor.

```
Pm2Y5Ho6
1.0
11.657 0.000 0.000
0.000 20.264 0.000
0.000 0.000 3.591
Pm Y Ho
4 10 12
Direct
0.169 0.215 0.000 Pm
0.331 0.715 0.000 Pm
0.669 0.285 0.000 Pm
0.831 0.785 0.000 Pm
0.000 0.500 0.500 Y
0.091 0.778 0.500 Y
0.199 0.053 0.500 Y
0.301 0.553 0.500 Y
0.409 0.278 0.500 Y
0.500 0.000 0.500 Y
0.591 0.722 0.500 Y
0.699 0.447 0.500 Y
0.801 0.947 0.500 Y
0.909 0.222 0.500 Y
0.061 0.922 0.000 Ho
0.079 0.634 0.000 Ho
0.176 0.370 0.500 Ho
0.324 0.870 0.500 Ho
0.421 0.134 0.000 Ho
0.439 0.422 0.000 Ho
0.561 0.578 0.000 Ho
0.579 0.866 0.000 Ho
0.676 0.130 0.500 Ho
0.824 0.630 0.500 Ho
0.921 0.366 0.000 Ho
0.939 0.078 0.000 Ho
```

Most intense lines, 2θ = 10–80°, by angle:
two_theta	d [Å]	I (rel.)
27.5	3.248	38
31.0	2.885	63
31.5	2.841	41
31.9	2.808	86
32.1	2.785	100
34.3	2.618	39
36.6	2.457	31
61.3	1.513	29

***

Record 3
Simulated XRD peak list of Pm2Y12Ho for a wavelength of 1.5418 Å, from a cell relaxed with GGA-PBE.
Kinematic intensities with the Lorentz-polarization factor, no thermal factor.

```
Pm2Y12Ho
1.0
3.541 -5.697 0.000
3.541 5.697 0.000
0.000 0.000 24.856
Pm Y Ho
4 24 2
Direct
0.250 0.750 0.235 Pm
0.250 0.750 0.770 Pm
0.750 0.250 0.230 Pm
0.750 0.250 0.765 Pm
0.000 0.000 0.424 Y
0.000 0.000 0.576 Y
0.000 0.500 0.374 Y
0.000 0.500 0.626 Y
0.012 0.512 0.085 Y
0.015 0.985 0.939 Y
0.250 0.250 0.173 Y
0.250 0.250 0.302 Y
0.250 0.250 0.698 Y
0.250 0.250 0.827 Y
0.485 0.515 0.939 Y
0.488 0.988 0.085 Y
0.500 0.000 0.374 Y
0.500 0.000 0.626 Y
0.500 0.500 0.424 Y
0.500 0.500 0.576 Y
0.512 0.012 0.915 Y
0.515 0.485 0.061 Y
0.750 0.750 0.173 Y
0.750 0.750 0.302 Y
0.750 0.750 0.698 Y
0.750 0.750 0.827 Y
0.985 0.015 0.061 Y
0.988 0.488 0.915 Y
0.250 0.750 0.500 Ho
0.750 0.250 0.500 Ho
```

Most intense lines, 2θ = 10–80°, by angle:
two_theta	d [Å]	I (rel.)
29.0	3.076	47
29.6	3.013	73
30.6	2.923	87
31.4	2.848	100
31.7	2.827	36
32.8	2.728	85
33.1	2.707	82
36.9	2.434	44

***

Record 4
Simulated XRD peak list of PmY8Ho2 for a wavelength of 1.5418 Å, from a cell relaxed with GGA-PBE.
Kinematic intensities with the Lorentz-polarization factor, no thermal factor.

```
PmY8Ho2
1.0
5.094 -6.643 0.000
5.094 6.643 0.000
-0.011 0.000 5.427
Pm Y Ho
1 8 2
Direct
0.000 0.000 0.000 Pm
0.031 0.301 0.501 Y
0.254 0.744 0.000 Y
0.301 0.031 0.501 Y
0.335 0.335 0.000 Y
0.665 0.665 0.000 Y
0.699 0.969 0.499 Y
0.744 0.254 0.000 Y
0.969 0.699 0.499 Y
0.380 0.619 0.500 Ho
0.619 0.380 0.500 Ho
```

Most intense lines, 2θ = 10–80°, by angle:
two_theta	d [Å]	I (rel.)
31.6	2.833	100
31.8	2.814	90
33.0	2.713	46
33.2	2.695	45
47.6	1.912	33
58.1	1.588	25
58.2	1.584	27
63.9	1.456	25

***

Record 5
Simulated XRD peak list of Pm2Y3Ho4 for a wavelength of 1.5418 Å, from a cell relaxed with GGA-PBE.
Kinematic intensities with the Lorentz-polarization factor, no thermal factor.

```
Pm2Y3Ho4
1.0
8.139 -5.809 0.000
8.139 5.809 0.000
-0.646 0.000 6.117
Pm Y Ho
4 6 8
Direct
0.022 0.734 0.679 Pm
0.266 0.978 0.821 Pm
0.734 0.022 0.179 Pm
0.978 0.266 0.321 Pm
0.098 0.902 0.250 Y
0.237 0.433 0.407 Y
0.433 0.237 0.907 Y
0.567 0.763 0.093 Y
0.763 0.567 0.593 Y
0.902 0.098 0.750 Y
0.077 0.354 0.849 Ho
0.313 0.594 0.984 Ho
0.354 0.077 0.349 Ho
0.406 0.687 0.516 Ho
0.594 0.313 0.484 Ho
0.646 0.923 0.651 Ho
0.687 0.406 0.016 Ho
0.923 0.646 0.151 Ho
```

Most intense lines, 2θ = 10–80°, by angle:
two_theta	d [Å]	I (rel.)
28.4	3.146	19
30.2	2.963	52
30.8	2.902	100
31.8	2.818	89
37.4	2.403	36
38.0	2.369	20
49.7	1.836	15
55.9	1.646	19

***

Record 6
Simulated XRD peak list of Pm2YHo4 for a wavelength of 1.5418 Å, from a cell relaxed with GGA-PBE.
Kinematic intensities with the Lorentz-polarization factor, no thermal factor.

```
Pm2YHo4
1.0
6.088 0.000 0.000
2.519 8.005 0.000
1.880 -0.313 9.332
Pm Y Ho
4 2 8
Direct
0.000 0.000 0.000 Pm
0.004 0.887 0.356 Pm
0.155 0.490 0.494 Pm
0.263 0.044 0.627 Pm
0.114 0.554 0.125 Y
0.903 0.418 0.847 Y
0.272 0.155 0.266 Ho
0.360 0.628 0.774 Ho
0.463 0.208 0.908 Ho
0.547 0.779 0.068 Ho
0.596 0.687 0.421 Ho
0.669 0.361 0.200 Ho
0.718 0.264 0.552 Ho
0.803 0.837 0.715 Ho
```

Most intense lines, 2θ = 10–80°, by angle:
two_theta	d [Å]	I (rel.)
29.6	3.013	35
30.9	2.889	50
31.2	2.866	83
31.5	2.837	62
32.3	2.768	24
33.3	2.689	100
34.7	2.583	21
48.9	1.861	18

***

Record 7
Simulated XRD peak list of Pm3Y4Ho for a wavelength of 1.5418 Å, from a cell relaxed with GGA-PBE.
Kinematic intensities with the Lorentz-polarization factor, no thermal factor.

```
Pm3Y4Ho
1.0
3.603 0.000 0.000
0.000 10.123 0.000
-0.012 0.000 7.196
Pm Y Ho
3 4 1
Direct
0.000 0.000 0.000 Pm
0.000 0.000 0.500 Pm
0.000 0.500 0.000 Pm
0.500 0.252 0.252 Y
0.500 0.252 0.748 Y
0.500 0.748 0.252 Y
0.500 0.748 0.748 Y
0.000 0.500 0.500 Ho
```

Most intense lines, 2θ = 10–80°, by angle:
two_theta	d [Å]	I (rel.)
30.5	2.934	100
35.3	2.546	34
35.5	2.531	17
50.7	1.800	12
50.9	1.795	24
60.3	1.535	21
60.6	1.528	14
63.4	1.467	12

***

Record 8
Simulated XRD peak list of PmY4Ho3 for a wavelength of 1.5418 Å, from a cell relaxed with GGA-PBE.
Kinematic intensities with the Lorentz-polarization factor, no thermal factor.

```
PmY4Ho3
1.0
11.298 0.000 0.000
0.000 7.296 0.000
0.000 0.000 6.303
Pm Y Ho
2 8 6
Direct
0.000 0.124 0.000 Pm
0.500 0.876 0.500 Pm
0.000 0.374 0.497 Y
0.000 0.626 0.996 Y
0.249 0.626 0.333 Y
0.251 0.374 0.833 Y
0.500 0.374 0.496 Y
0.500 0.626 0.997 Y
0.749 0.374 0.833 Y
0.751 0.626 0.333 Y
0.000 0.876 0.499 Ho
0.250 0.124 0.330 Ho
0.250 0.876 0.830 Ho
0.500 0.124 0.999 Ho
0.750 0.124 0.330 Ho
0.750 0.876 0.830 Ho
```

Most intense lines, 2θ = 10–80°, by angle:
two_theta	d [Å]	I (rel.)
28.3	3.155	24
31.7	2.824	24
32.5	2.755	100
43.0	2.105	17
50.1	1.822	20
57.0	1.617	20
60.5	1.531	22
60.9	1.520	11